Entry 1:
This entry pairs a crystal structure of LaPm2Nd5Er with its theoretical X-ray powder pattern. Radiation: CuKα. Structure: a DFT-relaxed cell (GGA-PBE, Alexandria).
Kinematic intensities with the Lorentz-polarization factor, no thermal factor.

Structure:
```
data_LaPm2Nd5Er
_symmetry_space_group_name_H-M 'I 4/m c m'
_symmetry_Int_Tables_number 140
_symmetry_space_group_name_Hall '-I 4 2c'
_cell_length_a 8.991
_cell_length_b 8.991
_cell_length_c 15.734
_cell_angle_alpha 90.00
_cell_angle_beta 90.00
_cell_angle_gamma 90.00
loop_
_atom_site_label
_atom_site_type_symbol
_atom_site_fract_x
_atom_site_fract_y
_atom_site_fract_z
_atom_site_occupancy
La1 La 0.000 0.000 0.250 1
Pm1 Pm 0.116 0.384 0.000 1
Nd1 Nd 0.000 0.000 0.000 1
Nd2 Nd 0.208 0.292 0.363 1
Er1 Er 0.000 0.500 0.250 1
```

Main lines, by angle (2θ = 15–90°):
28.0°, I 50.1, (2 1 3); 28.1°, I 51.3, (2 2 0); 30.2°, I 100.0, (2 0 4); 31.5°, I 12.0, (3 1 0); 33.5°, I 13.4, (3 1 2); 36.3°, I 12.6, (2 1 5); 36.5°, I 18.2, (3 2 1); 41.8°, I 22.4, (4 0 2); 46.2°, I 12.6, (0 0 8); 51.0°, I 22.5, (4 2 4); 54.9°, I 13.2, (2 2 8); 77.2°, I 13.1, (4 4 8)



Entry 2:
This entry pairs a crystal structure of LuScCuGe with its theoretical X-ray powder pattern. Radiation: CuKα. Structure: a DFT-relaxed cell (GGA-PBE, Alexandria).
Kinematic intensities with the Lorentz-polarization factor, no thermal factor.

Structure:
```
data_LuScCuGe
_symmetry_space_group_name_H-M 'F -4 3 m'
_symmetry_Int_Tables_number 216
_symmetry_space_group_name_Hall 'F -4 2 3'
_cell_length_a 6.744
_cell_length_b 6.744
_cell_length_c 6.744
_cell_angle_alpha 90.00
_cell_angle_beta 90.00
_cell_angle_gamma 90.00
loop_
_atom_site_label
_atom_site_type_symbol
_atom_site_fract_x
_atom_site_fract_y
_atom_site_fract_z
_atom_site_occupancy
Lu1 Lu 0.000 0.000 0.000 1
Sc1 Sc 0.000 0.000 0.500 1
Cu1 Cu 0.250 0.250 0.750 1
Ge1 Ge 0.250 0.250 0.250 1
```

Main lines, by angle (2θ = 15–90°):
22.8°, I 29.5, (1 1 1); 26.4°, I 5.1, (2 0 0); 37.7°, I 100.0, (2 2 0); 44.6°, I 16.2, (3 1 1); 46.7°, I 1.5, (2 2 2); 54.4°, I 16.9, (4 0 0); 59.8°, I 7.1, (3 3 1); 61.5°, I 2.1, (4 2 0); 68.1°, I 33.7, (4 2 2); 72.9°, I 5.4, (5 1 1); 80.6°, I 10.5, (4 4 0); 85.1°, I 5.6, (5 3 1)



Entry 3:
This entry pairs a crystal structure of Tb3YHg7 with its theoretical X-ray powder pattern. Radiation: CuKα. Structure: a DFT-relaxed cell (GGA-PBE, Alexandria).
Kinematic intensities with the Lorentz-polarization factor, no thermal factor.

Structure:
```
data_Tb3YHg7
_symmetry_space_group_name_H-M 'C m c m'
_symmetry_Int_Tables_number 63
_symmetry_space_group_name_Hall '-C 2c 2'
_cell_length_a 3.603
_cell_length_b 30.912
_cell_length_c 12.908
_cell_angle_alpha 90.00
_cell_angle_beta 90.00
_cell_angle_gamma 90.00
loop_
_atom_site_label
_atom_site_type_symbol
_atom_site_fract_x
_atom_site_fract_y
_atom_site_fract_z
_atom_site_occupancy
Tb1 Tb 0.000 0.070 0.048 1
Tb2 Tb 0.000 0.189 0.750 1
Y1 Y 0.000 0.070 0.750 1
Hg1 Hg 0.000 0.269 0.079 1
Hg2 Hg 0.000 0.372 0.102 1
Hg3 Hg 0.000 0.426 0.750 1
Hg4 Hg 0.000 0.488 0.113 1
```

Main lines, by angle (2θ = 15–90°):
29.7°, I 37.9, (0 10 1); 31.9°, I 22.1, (1 5 2); 32.1°, I 21.3, (1 7 0); 32.5°, I 100.0, (1 1 3); 35.8°, I 47.6, (0 10 3); 36.1°, I 41.1, (1 9 0); 36.3°, I 51.2, (0 8 4); 36.8°, I 37.0, (1 9 1); 37.5°, I 29.1, (1 1 4); 42.0°, I 22.0, (0 0 6); 50.7°, I 26.0, (2 0 0); 63.9°, I 27.4, (2 8 4)



Entry 4:
This entry pairs a crystal structure of ScPH4O6 with its theoretical X-ray powder pattern. Radiation: CuKα. Structure: a DFT-relaxed cell (GGA-PBE, Alexandria).
Kinematic intensities with the Lorentz-polarization factor, no thermal factor.

Structure:
```
data_ScPH4O6
_symmetry_space_group_name_H-M 'P 1 21/c 1'
_symmetry_Int_Tables_number 14
_cell_length_a 5.457
_cell_length_b 10.409
_cell_length_c 10.312
_cell_angle_alpha 90.00
_cell_angle_beta 119.58
_cell_angle_gamma 90.00
loop_
_symmetry_equiv_pos_as_xyz
'x,y,z'
'-x,-y,-z'
'-x,y+1/2,-z+1/2'
'x,-y+1/2,z+1/2'
loop_
_atom_site_label
_atom_site_type_symbol
_atom_site_fract_x
_atom_site_fract_y
_atom_site_fract_z
_atom_site_occupancy
Sc1 Sc 0.121 0.173 0.206 1
P1 P 0.271 0.644 0.679 1
H1 H 0.089 0.044 0.754 1
H2 H 0.356 0.544 0.288 1
H3 H 0.369 0.164 0.527 1
H4 H 0.409 0.696 0.026 1
O1 O 0.074 0.677 0.744 1
O2 O 0.151 0.702 0.521 1
O3 O 0.155 0.547 0.262 1
O4 O 0.299 0.004 0.176 1
O5 O 0.408 0.152 0.444 1
O6 O 0.434 0.204 0.717 1
```

Main lines, by angle (2θ = 15–90°):
17.0°, I 38.1, (0 2 0); 18.4°, I 70.3, (1 1 -1); 19.8°, I 100.0, (0 0 2); 21.2°, I 13.7, (1 1 -2); 23.6°, I 37.1, (1 2 -1); 30.5°, I 68.0, (1 3 -1); 31.1°, I 22.5, (0 1 3); 33.6°, I 23.4, (1 0 2); 34.0°, I 17.8, (2 1 -2); 39.0°, I 10.9, (2 2 -3); 51.7°, I 19.9, (2 3 1); 53.4°, I 9.5, (3 2 -3)



Entry 5:
This entry pairs a crystal structure of Ti7Zn2Pt2 with its theoretical X-ray powder pattern. Radiation: CuKα. Structure: a DFT-relaxed cell (GGA-PBE, Alexandria).
Kinematic intensities with the Lorentz-polarization factor, no thermal factor.

Structure:
```
data_Ti7Zn2Pt2
_symmetry_space_group_name_H-M 'P -1'
_symmetry_Int_Tables_number 2
_cell_length_a 5.354
_cell_length_b 5.381
_cell_length_c 7.379
_cell_angle_alpha 75.41
_cell_angle_beta 72.95
_cell_angle_gamma 66.44
loop_
_symmetry_equiv_pos_as_xyz
'x,y,z'
'-x,-y,-z'
loop_
_atom_site_label
_atom_site_type_symbol
_atom_site_fract_x
_atom_site_fract_y
_atom_site_fract_z
_atom_site_occupancy
Ti1 Ti 0.000 0.000 0.000 1
Ti2 Ti 0.093 0.593 0.744 1
Ti3 Ti 0.353 0.451 0.361 1
Ti4 Ti 0.454 0.929 0.310 1
Zn1 Zn 0.402 0.319 0.003 1
Pt1 Pt 0.082 0.107 0.621 1
```

Main lines, by angle (2θ = 15–90°):
18.2°, I 59.9, (0 1 0); 23.8°, I 82.5, (0 1 -1); 24.7°, I 82.8, (1 0 -1); 30.4°, I 83.2, (1 -1 0); 33.7°, I 79.5, (1 2 1); 36.9°, I 67.1, (2 0 1); 37.6°, I 100.0, (1 1 3); 38.4°, I 57.8, (1 1 -2); 38.8°, I 87.0, (0 0 3); 40.2°, I 60.1, (2 2 1); 41.1°, I 78.0, (0 2 -1); 41.8°, I 68.8, (0 2 2)



Entry 6:
This entry pairs a crystal structure of Tb3CeAl4 with its theoretical X-ray powder pattern. Radiation: CuKα. Structure: a DFT-relaxed cell (GGA-PBE, Alexandria).
Kinematic intensities with the Lorentz-polarization factor, no thermal factor.

Structure:
```
data_Tb3CeAl4
_symmetry_space_group_name_H-M 'P m m m'
_symmetry_Int_Tables_number 47
_cell_length_a 3.594
_cell_length_b 5.154
_cell_length_c 10.346
_cell_angle_alpha 90.00
_cell_angle_beta 90.00
_cell_angle_gamma 90.00
loop_
_symmetry_equiv_pos_as_xyz
'x,y,z'
'-x,-y,-z'
'-x,-y,z'
'x,y,-z'
'x,-y,-z'
'-x,y,z'
'-x,y,-z'
'x,-y,z'
loop_
_atom_site_label
_atom_site_type_symbol
_atom_site_fract_x
_atom_site_fract_y
_atom_site_fract_z
_atom_site_occupancy
Tb1 Tb 0.000 0.000 0.000 1
Tb2 Tb 0.000 0.500 0.249 1
Ce1 Ce 0.000 0.000 0.500 1
Al1 Al 0.500 0.000 0.245 1
Al2 Al 0.500 0.500 0.000 1
Al3 Al 0.500 0.500 0.500 1
```

Main lines, by angle (2θ = 15–90°):
24.4°, I 61.3, (0 1 2); 24.8°, I 29.5, (1 0 0); 34.7°, I 25.7, (0 0 4); 34.8°, I 25.4, (0 2 0); 35.0°, I 100.0, (1 1 2); 43.1°, I 13.9, (1 0 4); 43.2°, I 13.8, (1 2 0); 50.0°, I 18.2, (0 2 4); 56.5°, I 12.5, (1 2 4); 62.4°, I 18.6, (1 1 6); 62.6°, I 18.5, (1 3 2); 63.0°, I 18.1, (2 2 0)



Entry 7:
This entry pairs a crystal structure of CrFeHg with its theoretical X-ray powder pattern. Radiation: CuKα. Structure: a DFT-relaxed cell (GGA-PBE, Alexandria).
Kinematic intensities with the Lorentz-polarization factor, no thermal factor.

Structure:
```
data_CrFeHg
_symmetry_space_group_name_H-M 'I 4 m m'
_symmetry_Int_Tables_number 107
_symmetry_space_group_name_Hall 'I 4 -2'
_cell_length_a 2.895
_cell_length_b 2.895
_cell_length_c 10.848
_cell_angle_alpha 90.00
_cell_angle_beta 90.00
_cell_angle_gamma 90.00
loop_
_atom_site_label
_atom_site_type_symbol
_atom_site_fract_x
_atom_site_fract_y
_atom_site_fract_z
_atom_site_occupancy
Cr1 Cr 0.000 0.000 0.000 1
Fe1 Fe 0.000 0.000 0.617 1
Hg1 Hg 0.000 0.000 0.305 1
```

Main lines, by angle (2θ = 15–90°):
16.3°, I 30.4, (0 0 2); 32.0°, I 50.9, (1 0 1); 33.0°, I 20.7, (0 0 4); 39.9°, I 100.0, (1 0 3); 44.2°, I 40.1, (1 1 0); 56.3°, I 18.4, (1 1 4); 64.4°, I 12.8, (2 0 0); 68.7°, I 14.9, (1 0 7); 69.3°, I 15.8, (1 1 6); 73.7°, I 10.3, (2 1 1); 78.5°, I 26.8, (2 1 3); 86.0°, I 10.3, (2 0 6)



Entry 8:
This entry pairs a crystal structure of InCuI4 with its theoretical X-ray powder pattern. Radiation: CuKα. Structure: a DFT-relaxed cell (GGA-PBE, Alexandria).
Kinematic intensities with the Lorentz-polarization factor, no thermal factor.

Structure:
```
data_InCuI4
_symmetry_space_group_name_H-M 'P -4 2 c'
_symmetry_Int_Tables_number 112
_cell_length_a 6.542
_cell_length_b 6.542
_cell_length_c 11.885
_cell_angle_alpha 90.00
_cell_angle_beta 90.00
_cell_angle_gamma 90.00
loop_
_symmetry_equiv_pos_as_xyz
'x,y,z'
'y,-x,-z'
'-x,-y,z'
'-y,x,-z'
'x,-y,-z+1/2'
'y,x,z+1/2'
'-x,y,-z+1/2'
'-y,-x,z+1/2'
loop_
_atom_site_label
_atom_site_type_symbol
_atom_site_fract_x
_atom_site_fract_y
_atom_site_fract_z
_atom_site_occupancy
In1 In 0.000 0.500 0.250 1
Cu1 Cu 0.000 0.000 0.000 1
I1 I 0.240 0.247 0.385 1
```

Main lines, by angle (2θ = 15–90°):
15.5°, I 15.8, (1 0 1); 24.4°, I 100.0, (1 1 2); 27.3°, I 13.1, (2 0 0); 38.9°, I 23.9, (2 2 0); 41.0°, I 39.5, (2 0 4); 46.5°, I 33.9, (3 1 2); 50.1°, I 12.3, (1 1 6); 56.3°, I 7.9, (4 0 0); 62.2°, I 6.9, (3 3 2); 65.2°, I 10.8, (3 1 6); 72.0°, I 14.2, (4 2 4); 75.9°, I 7.6, (5 1 2)



Entry 9:
This entry pairs a crystal structure of BeBiPd2 with its theoretical X-ray powder pattern. Radiation: CuKα. Structure: a DFT-relaxed cell (GGA-PBE, Alexandria).
Kinematic intensities with the Lorentz-polarization factor, no thermal factor.

Structure:
```
data_BeBiPd2
_symmetry_space_group_name_H-M 'F m -3 m'
_symmetry_Int_Tables_number 225
_symmetry_space_group_name_Hall '-F 4 2 3'
_cell_length_a 6.462
_cell_length_b 6.462
_cell_length_c 6.462
_cell_angle_alpha 90.00
_cell_angle_beta 90.00
_cell_angle_gamma 90.00
loop_
_atom_site_label
_atom_site_type_symbol
_atom_site_fract_x
_atom_site_fract_y
_atom_site_fract_z
_atom_site_occupancy
Be1 Be 0.000 0.000 0.000 1
Bi1 Bi 0.000 0.000 0.500 1
Pd1 Pd 0.250 0.250 0.250 1
```

Main lines, by angle (2θ = 15–90°):
23.8°, I 52.1, (1 1 1); 39.4°, I 100.0, (2 2 0); 46.6°, I 27.8, (3 1 1); 57.0°, I 17.1, (4 0 0); 62.7°, I 11.8, (3 3 1); 71.5°, I 34.9, (4 2 2); 76.6°, I 9.0, (5 1 1); 84.9°, I 11.3, (4 4 0); 89.8°, I 9.7, (5 3 1)



Entry 10:
This entry pairs a crystal structure of LaSnTe with its theoretical X-ray powder pattern. Radiation: CuKα. Structure: a DFT-relaxed cell (GGA-PBE, Alexandria).
Kinematic intensities with the Lorentz-polarization factor, no thermal factor.

Structure:
```
data_LaSnTe
_symmetry_space_group_name_H-M 'I 4/m m m'
_symmetry_Int_Tables_number 139
_symmetry_space_group_name_Hall '-I 4 2'
_cell_length_a 4.396
_cell_length_b 4.396
_cell_length_c 19.688
_cell_angle_alpha 90.00
_cell_angle_beta 90.00
_cell_angle_gamma 90.00
loop_
_atom_site_label
_atom_site_type_symbol
_atom_site_fract_x
_atom_site_fract_y
_atom_site_fract_z
_atom_site_occupancy
La1 La 0.000 0.000 0.142 1
Sn1 Sn 0.000 0.500 0.000 1
Te1 Te 0.000 0.000 0.313 1
```

Main lines, by angle (2θ = 15–90°):
27.2°, I 50.1, (0 0 6); 28.7°, I 19.6, (1 1 0); 30.1°, I 100.0, (1 1 2); 30.5°, I 36.4, (1 0 5); 34.1°, I 78.3, (1 1 4); 38.0°, I 30.8, (1 0 7); 41.1°, I 55.9, (2 0 0); 49.9°, I 38.1, (2 0 6); 57.2°, I 18.7, (2 1 7); 59.5°, I 18.9, (2 2 0); 68.1°, I 19.9, (3 1 2); 70.4°, I 19.7, (3 1 4)



Entry 11:
This entry pairs a crystal structure of Tl23BiSb6 with its theoretical X-ray powder pattern. Radiation: CuKα. Structure: a DFT-relaxed cell (GGA-PBE, Alexandria).
Kinematic intensities with the Lorentz-polarization factor, no thermal factor.

Structure:
```
data_Tl23BiSb6
_symmetry_space_group_name_H-M 'I 4/m m m'
_symmetry_Int_Tables_number 139
_symmetry_space_group_name_Hall '-I 4 2'
_cell_length_a 9.898
_cell_length_b 9.898
_cell_length_c 19.722
_cell_angle_alpha 90.00
_cell_angle_beta 90.00
_cell_angle_gamma 90.00
loop_
_atom_site_label
_atom_site_type_symbol
_atom_site_fract_x
_atom_site_fract_y
_atom_site_fract_z
_atom_site_occupancy
Tl1 Tl 0.000 0.000 0.000 1
Tl2 Tl 0.000 0.252 0.126 1
Tl3 Tl 0.000 0.252 0.373 1
Tl4 Tl 0.000 0.500 0.000 1
Tl5 Tl 0.250 0.250 0.250 1
Bi1 Bi 0.000 0.000 0.500 1
Sb1 Sb 0.000 0.000 0.250 1
Sb2 Sb 0.243 0.243 0.500 1
```

Main lines, by angle (2θ = 15–90°):
20.1°, I 7.3, (2 0 2); 31.3°, I 100.0, (2 2 4); 36.3°, I 33.9, (4 0 0); 36.4°, I 16.8, (0 0 8); 52.3°, I 12.1, (4 4 0); 52.4°, I 24.0, (4 0 8); 62.2°, I 28.7, (6 2 4); 62.4°, I 14.2, (2 2 12); 65.4°, I 12.4, (4 4 8); 85.5°, I 6.1, (6 6 4); 85.7°, I 12.1, (6 2 12); 88.4°, I 11.4, (8 4 0)